1.
Diffraction record for TcIrRu4. The powder diffraction line list is calculated, not measured: it uses a DFT-relaxed cell (GGA-PBE, Alexandria) and a wavelength of 1.5418 Å.
Intensities are scaled so that the largest is 100.

```
TcIrRu4
1.0
2.7376 0.0000 0.0000
0.0000 4.3232 0.0000
-1.3885 0.0000 7.1328
Tc Ir Ru
1 1 4
Direct
0.0000 0.0000 0.0000 Tc
0.2244 0.5000 0.4471 Ir
0.3360 0.0000 0.6732 Ru
0.5572 0.5000 0.1126 Ru
0.6679 0.0000 0.3367 Ru
0.8925 0.5000 0.7848 Ru
```

Peak list (10 most intense, 5 to 70 degrees two-theta, by angle)
7.133 Å, rel. 9; 3.697 Å, rel. 4; 2.376 Å, rel. 25; 2.370 Å, rel. 13; 2.162 Å, rel. 37; 2.083 Å, rel. 100; 2.078 Å, rel. 49; 1.598 Å, rel. 22; 1.373 Å, rel. 8; 1.369 Å, rel. 17

2.
Diffraction record for HoU4C5. The powder diffraction line list is calculated, not measured: it uses a DFT-relaxed cell (GGA-PBE, Alexandria) and a wavelength of 1.5418 Å.
Intensities are scaled so that the largest is 100.

```
HoU4C5
1.0
-1.7437 2.4876 8.7354
1.7437 -2.4876 8.7354
1.7437 2.4876 -8.7354
Ho U C
1 4 5
Direct
0.0000 0.0000 0.0000 Ho
0.2004 0.2004 0.0000 U
0.4009 0.4009 0.0000 U
0.5991 0.5991 0.0000 U
0.7996 0.7996 0.0000 U
0.1076 0.6076 0.5000 C
0.3026 0.8026 0.5000 C
0.5000 0.0000 0.5000 C
0.6974 0.1974 0.5000 C
0.8924 0.3924 0.5000 C
```

Peak list (10 most intense, 5 to 70 degrees two-theta, by angle)
8.735 Å, rel. 1; 2.858 Å, rel. 100; 2.488 Å, rel. 21; 2.468 Å, rel. 41; 1.752 Å, rel. 30; 1.747 Å, rel. 7; 1.744 Å, rel. 7; 1.498 Å, rel. 15; 1.490 Å, rel. 30; 1.429 Å, rel. 15

3.
Diffraction record for H3PtI. The powder diffraction line list is calculated, not measured: it uses a DFT-relaxed cell (GGA-PBE, Alexandria) and a wavelength of 1.5418 Å.
Intensities are scaled so that the largest is 100.

```
H3PtI
1.0
4.8364 0.0000 0.0000
0.0000 4.8364 0.0000
0.0000 0.0000 6.9644
H Pt I
6 2 2
Direct
0.0000 0.5000 0.1825 H
0.2498 0.2502 0.0007 H
0.2502 0.7502 0.9993 H
0.5000 0.0000 0.8175 H
0.7498 0.2498 0.9993 H
0.7502 0.7498 0.0007 H
0.0000 0.5000 0.9565 Pt
0.5000 0.0000 0.0435 Pt
0.0000 0.5000 0.5740 I
0.5000 0.0000 0.4260 I
```

Peak list (10 most intense, 5 to 70 degrees two-theta, by angle)
3.972 Å, rel. 32; 3.482 Å, rel. 30; 3.420 Å, rel. 100; 2.440 Å, rel. 45; 2.418 Å, rel. 39; 2.093 Å, rel. 35; 1.986 Å, rel. 24; 1.582 Å, rel. 29; 1.529 Å, rel. 19; 1.400 Å, rel. 16

4.
Diffraction record for Pu2MgSi2Rh5. The powder diffraction line list is calculated, not measured: it uses a DFT-relaxed cell (GGA-PBE, Alexandria) and a wavelength of 1.5418 Å.
Intensities are scaled so that the largest is 100.

```
Pu2MgSi2Rh5
1.0
9.9520 0.0000 0.0000
0.0000 9.9520 0.0000
0.0000 0.0000 3.4233
Pu Mg Si Rh
4 2 4 10
Direct
0.1752 0.3248 0.0000 Pu
0.3248 0.8248 0.0000 Pu
0.6752 0.1752 0.0000 Pu
0.8248 0.6752 0.0000 Pu
0.0000 0.0000 0.0000 Mg
0.5000 0.5000 0.0000 Mg
0.1243 0.6243 0.0000 Si
0.3757 0.1243 0.0000 Si
0.6243 0.8757 0.0000 Si
0.8757 0.3757 0.0000 Si
0.0000 0.5000 0.5000 Rh
0.0682 0.7840 0.5000 Rh
0.2160 0.0682 0.5000 Rh
0.2840 0.5682 0.5000 Rh
0.4318 0.2840 0.5000 Rh
0.5000 0.0000 0.5000 Rh
0.5682 0.7160 0.5000 Rh
0.7160 0.4318 0.5000 Rh
0.7840 0.9318 0.5000 Rh
0.9318 0.2160 0.5000 Rh
```

Peak list (10 most intense, 5 to 70 degrees two-theta, by angle)
4.976 Å, rel. 24; 4.451 Å, rel. 28; 2.820 Å, rel. 29; 2.713 Å, rel. 100; 2.454 Å, rel. 25; 2.414 Å, rel. 94; 2.346 Å, rel. 39; 2.317 Å, rel. 83; 2.149 Å, rel. 29; 1.396 Å, rel. 34

5.
Diffraction record for LiAlGa5. The powder diffraction line list is calculated, not measured: it uses a DFT-relaxed cell (GGA-PBE, Alexandria) and a wavelength of 1.5418 Å.
Intensities are scaled so that the largest is 100.

```
LiAlGa5
1.0
4.5003 0.0000 0.0000
0.0000 4.5003 0.0000
0.0000 0.0000 6.4169
Li Al Ga
1 1 5
Direct
0.0000 0.0000 0.0000 Li
0.0000 0.0000 0.5000 Al
0.0000 0.5000 0.2673 Ga
0.0000 0.5000 0.7327 Ga
0.5000 0.0000 0.2673 Ga
0.5000 0.0000 0.7327 Ga
0.5000 0.5000 0.0000 Ga
```

Peak list (10 most intense, 5 to 70 degrees two-theta, by angle)
3.685 Å, rel. 23; 3.208 Å, rel. 14; 3.182 Å, rel. 30; 2.851 Å, rel. 9; 2.259 Å, rel. 100; 2.250 Å, rel. 51; 1.920 Å, rel. 7; 1.842 Å, rel. 11; 1.604 Å, rel. 7; 1.591 Å, rel. 17

6.
Diffraction record for AlIn4S6. The powder diffraction line list is calculated, not measured: it uses a DFT-relaxed cell (GGA-PBE, Alexandria) and a wavelength of 1.5418 Å.
Intensities are scaled so that the largest is 100.

```
AlIn4S6
1.0
6.3757 -3.8029 0.0000
6.3757 3.8029 0.0000
-3.4666 0.0000 12.1691
Al In S
2 8 12
Direct
0.2144 0.7856 0.5000 Al
0.7856 0.2144 0.0000 Al
0.1492 0.3507 0.2808 In
0.2153 0.5877 0.9123 In
0.3507 0.1492 0.7808 In
0.4927 0.6213 0.2432 In
0.5877 0.2153 0.4123 In
0.6213 0.4927 0.7432 In
0.7128 0.7557 0.0490 In
0.7557 0.7128 0.5490 In
0.1625 0.7331 0.3139 S
0.3596 0.4912 0.5773 S
0.3863 0.9810 0.5601 S
0.4282 0.7977 0.8818 S
0.4912 0.3596 0.0773 S
0.5245 0.9170 0.2085 S
0.7331 0.1625 0.8139 S
0.7977 0.4282 0.3818 S
0.8895 0.9654 0.5478 S
0.9170 0.5245 0.7085 S
0.9654 0.8895 0.0478 S
0.9810 0.3863 0.0601 S
```

Peak list (10 most intense, 5 to 70 degrees two-theta, by angle)
6.464 Å, rel. 90; 4.789 Å, rel. 39; 4.142 Å, rel. 73; 3.490 Å, rel. 100; 3.244 Å, rel. 38; 3.230 Å, rel. 97; 3.101 Å, rel. 44; 3.042 Å, rel. 57; 2.815 Å, rel. 38; 2.774 Å, rel. 42